Record 1
# Li2TiCo2O6
Theoretical powder diffractogram, Cu Kα (weighted mean of Kα1 and Kα2). Input: a cell relaxed with PBE+U.
Peak positions follow from Bragg's law for the DFT cell and can differ from measured ones.

Top 10 peaks for 5 to 70 degrees two-theta, in order of falling intensity:
- 2θ 17.66, I = 100, hkl 0 0 2
- 2θ 44.54, I = 35, hkl 3 1 3
- 2θ 36.20, I = 31, hkl 3 1 1
- 2θ 58.38, I = 18, hkl 3 1 5
- 2θ 39.33, I = 17, hkl 0 2 2
- 2θ 63.38, I = 17, hkl 3 3 1
- 2θ 50.79, I = 14, hkl 0 2 4
- 2θ 39.50, I = 9, hkl 3 1 2
- 2θ 34.86, I = 8, hkl 0 2 0
- 2θ 65.97, I = 5, hkl 6 0 2

Structure:
```
data_Li2TiCo2O6
_chemical_formula_sum 'Li8 Ti4 Co8 O24'
_cell_length_a 8.856
_cell_length_b 5.148
_cell_length_c 10.046
_cell_angle_alpha 90.00
_cell_angle_beta 90.00
_cell_angle_gamma 90.00
_symmetry_space_group_name_H-M 'C m c e'
_symmetry_Int_Tables_number 64
_symmetry_space_group_name_Hall '-C 2ac 2'
loop_
_atom_site_label
_atom_site_fract_x
_atom_site_fract_y
_atom_site_fract_z
_atom_site_occupancy
Li1 0.250 0.092 0.250 1
Ti1 0.000 0.000 0.000 1
Co1 0.163 0.000 0.500 1
O1 0.000 0.178 0.599 1
O2 0.169 0.159 0.892 1
```

=====

Record 2
# ThV2PbO8
Theoretical powder diffractogram, Cu Kα (weighted mean of Kα1 and Kα2). Input: a cell relaxed with PBE+U.
Peak positions follow from Bragg's law for the DFT cell and can differ from measured ones.

Top 10 peaks for 5 to 70 degrees two-theta, in order of falling intensity:
- 2θ 28.24, I = 100, hkl 1 1 2
- 2θ 18.41, I = 44, hkl 1 0 1
- 2θ 57.45, I = 31, hkl 3 1 2
- 2θ 45.94, I = 29, hkl 2 0 4
- 2θ 34.06, I = 23, hkl 2 0 0
- 2θ 38.99, I = 20, hkl 1 2 1
- 2θ 52.05, I = 19, hkl 1 1 6
- 2θ 29.89, I = 18, hkl 0 0 4
- 2θ 44.70, I = 15, hkl 2 1 3
- 2θ 28.08, I = 13, hkl 1 0 3

Structure:
```
data_ThV2PbO8
_chemical_formula_sum 'Th2 V4 Pb2 O16'
_cell_length_a 5.265
_cell_length_b 5.265
_cell_length_c 11.957
_cell_angle_alpha 90.00
_cell_angle_beta 90.00
_cell_angle_gamma 90.00
_symmetry_space_group_name_H-M 'I -4'
_symmetry_Int_Tables_number 82
loop_
_symmetry_equiv_pos_as_xyz
'x,y,z'
'y,-x,-z'
'-x,-y,z'
'-y,x,-z'
'x+1/2,y+1/2,z+1/2'
'y+1/2,-x+1/2,-z+1/2'
'-x+1/2,-y+1/2,z+1/2'
'-y+1/2,x+1/2,-z+1/2'
loop_
_atom_site_label
_atom_site_fract_x
_atom_site_fract_y
_atom_site_fract_z
_atom_site_occupancy
Th1 0.000 0.000 0.000 1
V1 0.000 0.000 0.500 1
V2 0.000 0.500 0.250 1
Pb1 0.000 0.500 0.750 1
O1 0.118 0.253 0.166 1
O2 0.143 0.748 0.572 1
```

=====

Record 3
# MoCl3O
Theoretical powder diffractogram, Cu Kα (weighted mean of Kα1 and Kα2). Input: a cell relaxed with PBE+U.
Peak positions follow from Bragg's law for the DFT cell and can differ from measured ones.

Top 10 peaks for 5 to 70 degrees two-theta, in order of falling intensity:
- 2θ 14.17, I = 100, hkl 1 0 0
- 2θ 18.91, I = 89, hkl 0 2 1
- 2θ 32.01, I = 54, hkl 1 4 -1
- 2θ 12.40, I = 50, hkl 0 2 0
- 2θ 23.37, I = 42, hkl 1 2 -1
- 2θ 40.60, I = 39, hkl 2 4 -1
- 2θ 33.29, I = 23, hkl 1 1 2
- 2θ 32.69, I = 21, hkl 1 0 2
- 2θ 34.00, I = 16, hkl 2 2 -1
- 2θ 42.30, I = 15, hkl 2 1 2

Structure:
```
data_MoCl3O
_chemical_formula_sum 'Mo4 Cl12 O4'
_cell_length_a 6.254
_cell_length_b 14.275
_cell_length_c 6.222
_cell_angle_alpha 90.00
_cell_angle_beta 92.30
_cell_angle_gamma 90.00
_symmetry_space_group_name_H-M 'P 1 21/c 1'
_symmetry_Int_Tables_number 14
loop_
_symmetry_equiv_pos_as_xyz
'x,y,z'
'-x,-y,-z'
'-x,y+1/2,-z+1/2'
'x,-y+1/2,z+1/2'
loop_
_atom_site_label
_atom_site_fract_x
_atom_site_fract_y
_atom_site_fract_z
_atom_site_occupancy
Mo1 0.031 0.165 0.303 1
Cl1 0.159 0.694 0.554 1
Cl2 0.264 0.188 0.611 1
Cl3 0.284 0.072 0.147 1
O1 0.150 0.586 0.116 1
```

=====

Record 4
# CoBi2O6
Theoretical powder diffractogram, Cu Kα (weighted mean of Kα1 and Kα2). Input: a cell relaxed with PBE+U.
Peak positions follow from Bragg's law for the DFT cell and can differ from measured ones.

Top 10 peaks for 5 to 70 degrees two-theta, in order of falling intensity:
- 2θ 26.74, I = 100, hkl 1 1 1
- 2θ 50.81, I = 29, hkl 3 0 2
- 2θ 34.82, I = 28, hkl 3 0 0
- 2θ 29.17, I = 18, hkl 2 0 1
- 2θ 44.44, I = 16, hkl 2 2 1
- 2θ 54.92, I = 13, hkl 3 2 1
- 2θ 30.60, I = 12, hkl 2 1 0
- 2θ 19.89, I = 12, hkl 1 1 0
- 2θ 59.01, I = 11, hkl 1 1 3
- 2θ 35.81, I = 10, hkl 0 0 2

Structure:
```
data_CoBi2O6
_chemical_formula_sum 'Co3 Bi6 O18'
_cell_length_a 8.9256
_cell_length_b 8.9256
_cell_length_c 5.0150
_cell_angle_alpha 90.00
_cell_angle_beta 90.00
_cell_angle_gamma 120.00
_symmetry_space_group_name_H-M 'P 3 2 1'
_symmetry_Int_Tables_number 150
loop_
_symmetry_equiv_pos_as_xyz
'x,y,z'
'-y,x-y,z'
'-x+y,-x,z'
'y,x,-z'
'x-y,-y,-z'
'-x,-x+y,-z'
loop_
_atom_site_label
_atom_site_fract_x
_atom_site_fract_y
_atom_site_fract_z
_atom_site_occupancy
Co1 0.0000 0.0000 0.0000 1
Co2 0.3333 0.6667 0.4996 1
Bi1 0.0000 0.3740 0.0000 1
Bi2 0.0000 0.7077 0.5000 1
O1 0.0825 0.1998 0.2173 1
O2 0.1365 0.5978 0.2807 1
O3 0.2324 0.7670 0.7205 1
```

=====

Record 5
# MgFe6O8F4
Theoretical powder diffractogram, Cu Kα (weighted mean of Kα1 and Kα2). Input: a cell relaxed with PBE+U.
Peak positions follow from Bragg's law for the DFT cell and can differ from measured ones.

Top 10 peaks for 5 to 70 degrees two-theta, in order of falling intensity:
- 2θ 27.23, I = 100, hkl 1 -1 0
- 2θ 26.73, I = 99, hkl 1 1 1
- 2θ 36.98, I = 41, hkl 1 0 4
- 2θ 33.28, I = 36, hkl 1 0 -3
- 2θ 8.29, I = 36, hkl 0 0 1
- 2θ 38.53, I = 23, hkl 0 2 1
- 2θ 54.73, I = 22, hkl 2 -1 4
- 2θ 52.09, I = 21, hkl 1 -2 3
- 2θ 51.20, I = 19, hkl 2 1 4
- 2θ 56.16, I = 18, hkl 2 -2 0

Structure:
```
data_MgFe6O8F4
_chemical_formula_sum 'Mg1 Fe6 O8 F4'
_cell_length_a 4.704
_cell_length_b 4.704
_cell_length_c 10.789
_cell_angle_alpha 83.63
_cell_angle_beta 83.65
_cell_angle_gamma 88.26
_symmetry_space_group_name_H-M 'P 1'
_symmetry_Int_Tables_number 1
loop_
_symmetry_equiv_pos_as_xyz
'x,y,z'
loop_
_atom_site_label
_atom_site_fract_x
_atom_site_fract_y
_atom_site_fract_z
_atom_site_occupancy
Mg1 0.000 0.000 0.000 1
Fe1 0.154 0.152 0.670 1
Fe2 0.249 0.248 0.357 1
Fe3 0.370 0.369 0.092 1
Fe4 0.696 0.694 0.793 1
Fe5 0.705 0.703 0.522 1
Fe6 0.783 0.782 0.252 1
O1 0.090 0.090 0.186 1
O2 0.477 0.474 0.922 1
O3 0.488 0.895 0.666 1
O4 0.494 0.492 0.233 1
O5 0.546 0.950 0.382 1
O6 0.897 0.486 0.666 1
O7 0.952 0.545 0.381 1
O8 0.972 0.970 0.826 1
F1 0.001 0.610 0.076 1
F2 0.019 0.017 0.517 1
F3 0.403 0.401 0.525 1
F4 0.610 0.999 0.076 1
```